# 1
For ReTe2, a GGA-PBE-relaxed structure gives the theoretical powder X-ray diffraction pattern in this record (CuKα).
No peak broadening, texture or thermal motion is included.

Principal peaks in the range 10° ≤ 2θ ≤ 90°, in order of rising 2θ:
d = 7.388 Å, 2θ = 11.98°, intensity 100.0, (0 0 1); d = 3.085 Å, 2θ = 28.94°, intensity 7.7, (2 0 0); d = 2.738 Å, 2θ = 32.70°, intensity 29.6, (2 2 2); d = 2.725 Å, 2θ = 32.86°, intensity 25.0, (2 0 -1); d = 2.695 Å, 2θ = 33.25°, intensity 26.5, (0 2 -1); d = 2.278 Å, 2θ = 39.57°, intensity 7.1, (3 1 0); d = 2.251 Å, 2θ = 40.06°, intensity 10.1, (2 2 3); d = 2.139 Å, 2θ = 42.25°, intensity 7.3, (0 2 3); d = 2.055 Å, 2θ = 44.06°, intensity 12.0, (2 0 3); d = 2.026 Å, 2θ = 44.73°, intensity 10.2, (2 2 -2)

Cell and atoms:
```
ReTe2
1.0
7.0998 0.0000 0.0000
3.5035 6.3478 0.0000
1.8627 1.4241 7.3882
Re Te
4 8
Direct
0.0108 0.2980 0.0036
0.4235 0.3214 0.0109
0.5765 0.6786 0.9891
0.9892 0.7020 0.9964
0.0992 0.3800 0.2826
0.1572 0.8633 0.1783
0.3531 0.6617 0.7531
0.3881 0.1071 0.7942
0.6119 0.8929 0.2058
0.6469 0.3383 0.2469
0.8428 0.1367 0.8217
0.9008 0.6200 0.7174
```



# 2
For Th3Re, a GGA-PBE-relaxed structure gives the theoretical powder X-ray diffraction pattern in this record (CuKα).
No peak broadening, texture or thermal motion is included.

Principal peaks in the range 10° ≤ 2θ ≤ 90°, in order of rising 2θ:
d = 2.897 Å, 2θ = 30.87°, intensity 23.1, (2 0 0); d = 2.774 Å, 2θ = 32.27°, intensity 28.4, (0 0 2); d = 2.568 Å, 2θ = 34.94°, intensity 100.0, (2 0 1); d = 2.004 Å, 2θ = 45.26°, intensity 16.5, (2 0 2); d = 1.672 Å, 2θ = 54.90°, intensity 17.5, (2 2 0); d = 1.559 Å, 2θ = 59.28°, intensity 22.5, (2 0 3); d = 1.432 Å, 2θ = 65.13°, intensity 21.2, (2 2 2); d = 1.401 Å, 2θ = 66.75°, intensity 14.4, (4 0 1); d = 1.251 Å, 2θ = 76.08°, intensity 3.7, (2 0 4); d = 1.140 Å, 2θ = 85.07°, intensity 7.7, (4 0 3)

Cell and atoms:
```
Th3Re
1.0
6.6899 0.0000 0.0000
-3.3450 5.7936 0.0000
0.0000 0.0000 5.5483
Th Re
6 2
Direct
0.1786 0.3572 0.2500
0.1786 0.8214 0.2500
0.3572 0.1786 0.7500
0.6428 0.8214 0.2500
0.8214 0.1786 0.7500
0.8214 0.6428 0.7500
0.3333 0.6667 0.7500
0.6667 0.3333 0.2500
```



# 3
For ThURe4, a GGA-PBE-relaxed structure gives the theoretical powder X-ray diffraction pattern in this record (CuKα).
No peak broadening, texture or thermal motion is included.

Principal peaks in the range 10° ≤ 2θ ≤ 90°, in order of rising 2θ:
d = 2.725 Å, 2θ = 32.87°, intensity 34.4, (1 1 0); d = 2.505 Å, 2θ = 35.84°, intensity 76.1, (0 1 3); d = 2.322 Å, 2θ = 38.79°, intensity 100.0, (1 1 2); d = 2.281 Å, 2θ = 39.51°, intensity 81.6, (2 0 1); d = 2.217 Å, 2θ = 40.69°, intensity 16.1, (0 0 4); d = 1.527 Å, 2θ = 60.62°, intensity 31.0, (1 2 3); d = 1.483 Å, 2θ = 62.65°, intensity 25.3, (3 0 2); d = 1.418 Å, 2θ = 65.87°, intensity 32.1, (2 0 5); d = 1.363 Å, 2θ = 68.91°, intensity 28.9, (2 2 0); d = 1.197 Å, 2θ = 80.19°, intensity 15.7, (3 1 3)

Cell and atoms:
```
ThURe4
1.0
5.4503 0.0000 0.0000
-2.7252 4.7201 0.0000
0.0000 0.0000 8.8689
Th U Re
2 2 8
Direct
0.3333 0.6667 0.0668
0.6667 0.3333 0.9332
0.3333 0.6667 0.4387
0.6667 0.3333 0.5613
0.0000 0.0000 0.0000
0.0000 0.0000 0.5000
0.1704 0.3409 0.7451
0.1704 0.8296 0.7451
0.3409 0.1704 0.2549
0.6591 0.8296 0.7451
0.8296 0.1704 0.2549
0.8296 0.6591 0.2549
```